Record 1
Structure and calculated powder diffractogram of CsTb2Cu3SeS4 (a structure optimized by DFT (GGA-PBE); Cu Kα (weighted mean of Kα1 and Kα2)).

Principal peaks in the range 2θ = 15–90°, by intensity:
2θ = 31.5°, I 100, hkl 0 0 6
2θ = 28.0°, I 98, hkl 1 1 3
2θ = 29.7°, I 96, hkl 1 3 1
2θ = 25.8°, I 78, hkl 0 4 1
2θ = 47.8°, I 72, hkl 1 3 7
2θ = 45.2°, I 71, hkl 2 0 0
2θ = 31.1°, I 70, hkl 1 3 2
2θ = 36.2°, I 60, hkl 1 3 4
2θ = 39.0°, I 55, hkl 1 5 0
2θ = 36.7°, I 44, hkl 0 4 5

Cell and atoms:
```
data_CsTb2Cu3SeS4
_chemical_formula_sum 'Cs4 Tb8 Cu12 Se4 S16'
_cell_length_a 4.0083
_cell_length_b 14.1164
_cell_length_c 17.0454
_cell_angle_alpha 90.00
_cell_angle_beta 90.00
_cell_angle_gamma 90.00
_symmetry_space_group_name_H-M 'C m c m'
_symmetry_Int_Tables_number 63
_symmetry_space_group_name_Hall '-C 2c 2'
loop_
_atom_site_label
_atom_site_type_symbol
_atom_site_fract_x
_atom_site_fract_y
_atom_site_fract_z
Cs1 Cs 0.0000 0.0613 0.2500
Tb1 Tb 0.0000 0.1900 0.5888
Cu1 Cu 0.0000 0.3504 0.2500
Cu2 Cu 0.0000 0.4161 0.5370
Se1 Se 0.0000 0.2375 0.7500
S1 S 0.0000 0.1684 0.0688
S2 S 0.0000 0.4389 0.1076
```

Record 2
Structure and calculated powder diffractogram of CsTb2CuSe3S (a structure optimized by DFT (GGA-PBE); Cu Kα (weighted mean of Kα1 and Kα2)).

Principal peaks in the range 2θ = 15–90°, by intensity:
2θ = 31.0°, I 100, hkl 1 3 2
2θ = 29.0°, I 91, hkl 1 3 1
2θ = 22.2°, I 82, hkl 0 2 3
2θ = 42.4°, I 68, hkl 1 5 3
2θ = 33.6°, I 47, hkl 0 2 5
2θ = 43.7°, I 43, hkl 2 0 0
2θ = 25.6°, I 36, hkl 1 1 2
2θ = 27.7°, I 31, hkl 0 2 4
2θ = 38.7°, I 31, hkl 1 1 5
2θ = 37.7°, I 30, hkl 0 0 6

Cell and atoms:
```
data_CsTb2CuSe3S
_chemical_formula_sum 'Cs4 Tb8 Cu4 Se12 S4'
_cell_length_a 4.1389
_cell_length_b 14.5878
_cell_length_c 14.3328
_cell_angle_alpha 90.00
_cell_angle_beta 90.00
_cell_angle_gamma 90.00
_symmetry_space_group_name_H-M 'C m c m'
_symmetry_Int_Tables_number 63
_symmetry_space_group_name_Hall '-C 2c 2'
loop_
_atom_site_label
_atom_site_type_symbol
_atom_site_fract_x
_atom_site_fract_y
_atom_site_fract_z
Cs1 Cs 0.0000 0.1017 0.2500
Tb1 Tb 0.0000 0.3666 0.0668
Cu1 Cu 0.0000 0.1617 0.7500
Se1 Se 0.0000 0.0000 0.0000
Se2 Se 0.0000 0.2597 0.6081
S1 S 0.0000 0.4173 0.2500
```

Record 3
Structure and calculated powder diffractogram of CsCuTcSeS2 (a structure optimized by DFT (GGA-PBE); Cu Kα (weighted mean of Kα1 and Kα2)).

Principal peaks in the range 2θ = 15–90°, by intensity:
2θ = 31.0°, I 100, hkl 1 3 1
2θ = 37.0°, I 36, hkl 0 0 4
2θ = 22.5°, I 35, hkl 0 4 0
2θ = 21.5°, I 30, hkl 0 2 2
2θ = 34.9°, I 30, hkl 1 3 2
2θ = 40.8°, I 26, hkl 1 3 3
2θ = 56.3°, I 23, hkl 1 3 5
2θ = 38.8°, I 23, hkl 0 6 2
2θ = 41.9°, I 21, hkl 1 5 2
2θ = 50.9°, I 21, hkl 1 7 2

Cell and atoms:
```
data_CsCuTcSeS2
_chemical_formula_sum 'Cs4 Cu4 Tc4 Se4 S8'
_cell_length_a 3.6893
_cell_length_b 15.8409
_cell_length_c 9.7192
_cell_angle_alpha 90.00
_cell_angle_beta 90.00
_cell_angle_gamma 90.00
_symmetry_space_group_name_H-M 'C m c m'
_symmetry_Int_Tables_number 63
_symmetry_space_group_name_Hall '-C 2c 2'
loop_
_atom_site_label
_atom_site_type_symbol
_atom_site_fract_x
_atom_site_fract_y
_atom_site_fract_z
Cs1 Cs 0.0000 0.2405 0.2500
Cu1 Cu 0.0000 0.4653 0.7500
Tc1 Tc 0.0000 0.0000 0.0000
Se1 Se 0.0000 0.0652 0.7500
S1 S 0.0000 0.3984 0.5445
```

Record 4
Structure and calculated powder diffractogram of CsTm2Cu3SeS4 (a structure optimized by DFT (GGA-PBE); Cu Kα (weighted mean of Kα1 and Kα2)).

Principal peaks in the range 2θ = 15–90°, by intensity:
2θ = 28.3°, I 100, hkl 1 1 3
2θ = 32.0°, I 95, hkl 0 0 6
2θ = 30.0°, I 95, hkl 1 3 1
2θ = 25.9°, I 75, hkl 0 4 1
2θ = 31.4°, I 69, hkl 1 3 2
2θ = 48.5°, I 69, hkl 1 3 7
2θ = 45.8°, I 68, hkl 2 0 0
2θ = 36.6°, I 60, hkl 1 3 4
2θ = 39.3°, I 60, hkl 1 5 0
2θ = 29.5°, I 48, hkl 1 3 0

Cell and atoms:
```
data_CsTm2Cu3SeS4
_chemical_formula_sum 'Cs4 Tm8 Cu12 Se4 S16'
_cell_length_a 3.9601
_cell_length_b 14.0657
_cell_length_c 16.7736
_cell_angle_alpha 90.00
_cell_angle_beta 90.00
_cell_angle_gamma 90.00
_symmetry_space_group_name_H-M 'C m c m'
_symmetry_Int_Tables_number 63
_symmetry_space_group_name_Hall '-C 2c 2'
loop_
_atom_site_label
_atom_site_type_symbol
_atom_site_fract_x
_atom_site_fract_y
_atom_site_fract_z
Cs1 Cs 0.0000 0.0597 0.2500
Tm1 Tm 0.0000 0.1908 0.5891
Cu1 Cu 0.0000 0.3526 0.2500
Cu2 Cu 0.0000 0.4160 0.5372
Se1 Se 0.0000 0.2388 0.7500
S1 S 0.0000 0.1710 0.0685
S2 S 0.0000 0.4367 0.1079
```

Record 5
Structure and calculated powder diffractogram of Cs4CuSi2S7 (a structure optimized by DFT (GGA-PBE); Cu Kα (weighted mean of Kα1 and Kα2)).

Principal peaks in the range 2θ = 15–90°, by intensity:
2θ = 25.2°, I 100, hkl 0 2 -2
2θ = 24.2°, I 89, hkl 2 -1 0
2θ = 22.4°, I 70, hkl 1 0 -2
2θ = 25.9°, I 68, hkl 1 -1 2
2θ = 20.2°, I 56, hkl 0 1 1
2θ = 21.9°, I 54, hkl 1 -2 0
2θ = 22.3°, I 44, hkl 1 1 0
2θ = 33.0°, I 40, hkl 2 1 -2
2θ = 33.2°, I 39, hkl 2 0 1
2θ = 37.4°, I 39, hkl 2 -3 2

Cell and atoms:
```
data_Cs4CuSi2S7
_chemical_formula_sum 'Cs4 Cu1 Si2 S7'
_cell_length_a 7.4593
_cell_length_b 8.6866
_cell_length_c 8.7623
_cell_angle_alpha 109.97
_cell_angle_beta 99.32
_cell_angle_gamma 112.24
_symmetry_space_group_name_H-M 'P -1'
_symmetry_Int_Tables_number 2
_symmetry_space_group_name_Hall '-P 1'
loop_
_atom_site_label
_atom_site_type_symbol
_atom_site_fract_x
_atom_site_fract_y
_atom_site_fract_z
Cs1 Cs 0.0691 0.0516 0.2909
Cs2 Cs 0.2923 0.5995 0.8428
Cu1 Cu 0.5000 0.0000 0.5000
Si1 Si 0.3383 0.5823 0.3280
S1 S 0.1457 0.3466 0.0990
S2 S 0.2152 0.7382 0.4781
S3 S 0.4289 0.2038 0.7013
S4 S 0.5000 0.5000 0.5000
```

Record 6
Structure and calculated powder diffractogram of CsSm2CuTeS3 (a structure optimized by DFT (GGA-PBE); Cu Kα (weighted mean of Kα1 and Kα2)).

Principal peaks in the range 2θ = 15–90°, by intensity:
2θ = 30.5°, I 100, hkl 1 3 2
2θ = 22.2°, I 59, hkl 0 2 3
2θ = 27.8°, I 58, hkl 1 3 0
2θ = 28.5°, I 46, hkl 1 3 1
2θ = 41.7°, I 43, hkl 1 5 3
2θ = 33.5°, I 31, hkl 1 1 4
2θ = 43.0°, I 30, hkl 2 0 0
2θ = 38.6°, I 21, hkl 1 1 5
2θ = 51.9°, I 20, hkl 1 7 3
2θ = 45.3°, I 19, hkl 0 4 6

Cell and atoms:
```
data_CsSm2CuTeS3
_chemical_formula_sum 'Cs4 Sm8 Cu4 Te4 S12'
_cell_length_a 4.2106
_cell_length_b 14.8841
_cell_length_c 14.2453
_cell_angle_alpha 90.00
_cell_angle_beta 90.00
_cell_angle_gamma 90.00
_symmetry_space_group_name_H-M 'C m c m'
_symmetry_Int_Tables_number 63
_symmetry_space_group_name_Hall '-C 2c 2'
loop_
_atom_site_label
_atom_site_type_symbol
_atom_site_fract_x
_atom_site_fract_y
_atom_site_fract_z
Cs1 Cs 0.0000 0.0962 0.2500
Sm1 Sm 0.0000 0.3519 0.0669
Cu1 Cu 0.0000 0.1739 0.7500
Te1 Te 0.0000 0.0000 0.0000
S1 S 0.0000 0.2611 0.6101
S2 S 0.0000 0.4075 0.2500
```

Record 7
Structure and calculated powder diffractogram of Cs2Tb4Cu4S9 (a structure optimized by DFT (GGA-PBE); Cu Kα (weighted mean of Kα1 and Kα2)).

Principal peaks in the range 2θ = 15–90°, by intensity:
2θ = 25.5°, I 100, hkl 4 0 -2
2θ = 45.5°, I 93, hkl 0 2 0
2θ = 27.0°, I 82, hkl 1 1 2
2θ = 31.9°, I 80, hkl 3 1 1
2θ = 27.8°, I 72, hkl 1 1 -3
2θ = 22.8°, I 69, hkl 2 0 -4
2θ = 29.8°, I 64, hkl 3 1 -2
2θ = 25.1°, I 53, hkl 2 0 3
2θ = 30.1°, I 49, hkl 3 1 0
2θ = 41.2°, I 48, hkl 5 1 -4

Cell and atoms:
```
data_Cs2Tb4Cu4S9
_chemical_formula_sum 'Cs4 Tb8 Cu8 S18'
_cell_length_a 14.0828
_cell_length_b 3.9909
_cell_length_c 16.1664
_cell_angle_alpha 90.00
_cell_angle_beta 108.75
_cell_angle_gamma 90.00
_symmetry_space_group_name_H-M 'C 1 2/m 1'
_symmetry_Int_Tables_number 12
_symmetry_space_group_name_Hall '-C 2y'
loop_
_atom_site_label
_atom_site_type_symbol
_atom_site_fract_x
_atom_site_fract_y
_atom_site_fract_z
Cs1 Cs 0.0285 0.0000 0.2708
Tb1 Tb 0.1531 0.5000 0.5536
Tb2 Tb 0.2311 0.0000 0.1027
Cu1 Cu 0.0699 0.5000 0.9614
Cu2 Cu 0.2474 0.0000 0.7279
S1 S 0.0000 0.0000 0.5000
S2 S 0.1069 0.5000 0.1211
S3 S 0.1409 0.0000 0.9267
S4 S 0.1632 0.5000 0.7238
S5 S 0.2088 0.5000 0.4028
```

Record 8
Structure and calculated powder diffractogram of CsTb2CuTeS3 (a structure optimized by DFT (GGA-PBE); Cu Kα (weighted mean of Kα1 and Kα2)).

Principal peaks in the range 2θ = 15–90°, by intensity:
2θ = 31.1°, I 100, hkl 1 3 2
2θ = 29.1°, I 59, hkl 1 3 1
2θ = 42.6°, I 58, hkl 1 3 5
2θ = 24.7°, I 36, hkl 0 0 4
2θ = 22.2°, I 32, hkl 0 2 3
2θ = 24.6°, I 32, hkl 0 4 0
2θ = 38.6°, I 29, hkl 1 1 5
2θ = 43.8°, I 26, hkl 2 0 0
2θ = 51.0°, I 26, hkl 1 7 2
2θ = 33.5°, I 23, hkl 0 2 5

Cell and atoms:
```
data_CsTb2CuTeS3
_chemical_formula_sum 'Cs4 Tb8 Cu4 Te4 S12'
_cell_length_a 4.1341
_cell_length_b 14.4733
_cell_length_c 14.3973
_cell_angle_alpha 90.00
_cell_angle_beta 90.00
_cell_angle_gamma 90.00
_symmetry_space_group_name_H-M 'C m c m'
_symmetry_Int_Tables_number 63
_symmetry_space_group_name_Hall '-C 2c 2'
loop_
_atom_site_label
_atom_site_type_symbol
_atom_site_fract_x
_atom_site_fract_y
_atom_site_fract_z
Cs1 Cs 0.0000 0.1284 0.2500
Tb1 Tb 0.0000 0.3666 0.0503
Cu1 Cu 0.0000 0.1724 0.7500
Te1 Te 0.0000 0.4329 0.2500
S1 S 0.0000 0.0000 0.0000
S2 S 0.0000 0.2490 0.6025
```

Record 9
Structure and calculated powder diffractogram of CsTm2Cu3TeS4 (a structure optimized by DFT (GGA-PBE); Cu Kα (weighted mean of Kα1 and Kα2)).

Principal peaks in the range 2θ = 15–90°, by intensity:
2θ = 31.2°, I 100, hkl 0 0 6
2θ = 29.7°, I 94, hkl 1 3 1
2θ = 31.0°, I 80, hkl 1 3 2
2θ = 47.5°, I 60, hkl 1 3 7
2θ = 39.0°, I 58, hkl 1 5 0
2θ = 27.8°, I 57, hkl 1 1 3
2θ = 45.1°, I 56, hkl 2 0 0
2θ = 25.8°, I 52, hkl 0 4 1
2θ = 36.0°, I 49, hkl 1 3 4
2θ = 36.5°, I 39, hkl 0 4 5

Cell and atoms:
```
data_CsTm2Cu3TeS4
_chemical_formula_sum 'Cs4 Tm8 Cu12 Te4 S16'
_cell_length_a 4.0230
_cell_length_b 14.1189
_cell_length_c 17.2080
_cell_angle_alpha 90.00
_cell_angle_beta 90.00
_cell_angle_gamma 90.00
_symmetry_space_group_name_H-M 'C m c m'
_symmetry_Int_Tables_number 63
_symmetry_space_group_name_Hall '-C 2c 2'
loop_
_atom_site_label
_atom_site_type_symbol
_atom_site_fract_x
_atom_site_fract_y
_atom_site_fract_z
Cs1 Cs 0.0000 0.0492 0.2500
Tm1 Tm 0.0000 0.1880 0.5835
Cu1 Cu 0.0000 0.3568 0.2500
Cu2 Cu 0.0000 0.4157 0.5374
Te1 Te 0.0000 0.2448 0.7500
S1 S 0.0000 0.1715 0.0687
S2 S 0.0000 0.4364 0.1038
```

Record 10
Structure and calculated powder diffractogram of CsTm2Cu3Te4S (a structure optimized by DFT (GGA-PBE); Cu Kα (weighted mean of Kα1 and Kα2)).

Principal peaks in the range 2θ = 15–90°, by intensity:
2θ = 27.5°, I 100, hkl 1 3 1
2θ = 27.0°, I 92, hkl 1 3 0
2θ = 33.9°, I 69, hkl 1 3 4
2θ = 42.3°, I 66, hkl 2 0 0
2θ = 45.1°, I 57, hkl 1 3 7
2θ = 28.9°, I 55, hkl 1 3 2
2θ = 27.6°, I 48, hkl 0 2 5
2θ = 30.2°, I 45, hkl 0 0 6
2θ = 37.1°, I 40, hkl 1 5 2
2θ = 35.7°, I 40, hkl 1 5 0

Cell and atoms:
```
data_CsTm2Cu3Te4S
_chemical_formula_sum 'Cs4 Tm8 Cu12 Te16 S4'
_cell_length_a 4.2715
_cell_length_b 15.5808
_cell_length_c 17.7384
_cell_angle_alpha 90.00
_cell_angle_beta 90.00
_cell_angle_gamma 90.00
_symmetry_space_group_name_H-M 'C m c m'
_symmetry_Int_Tables_number 63
_symmetry_space_group_name_Hall '-C 2c 2'
loop_
_atom_site_label
_atom_site_type_symbol
_atom_site_fract_x
_atom_site_fract_y
_atom_site_fract_z
Cs1 Cs 0.0000 0.0732 0.2500
Tm1 Tm 0.0000 0.1955 0.6025
Cu1 Cu 0.0000 0.3336 0.2500
Cu2 Cu 0.0000 0.4190 0.5251
Te1 Te 0.0000 0.1669 0.0681
Te2 Te 0.0000 0.4413 0.1212
S1 S 0.0000 0.2324 0.7500
```

Record 11
Structure and calculated powder diffractogram of CsTm2Cu3S5 (a structure optimized by DFT (GGA-PBE); Cu Kα (weighted mean of Kα1 and Kα2)).

Principal peaks in the range 2θ = 15–90°, by intensity:
2θ = 28.5°, I 100, hkl 1 1 3
2θ = 32.3°, I 58, hkl 0 0 6
2θ = 26.0°, I 58, hkl 0 4 1
2θ = 30.2°, I 53, hkl 1 3 1
2θ = 46.1°, I 47, hkl 2 0 0
2θ = 36.9°, I 47, hkl 1 3 4
2θ = 31.6°, I 47, hkl 1 3 2
2θ = 48.9°, I 44, hkl 1 3 7
2θ = 29.7°, I 38, hkl 1 3 0
2θ = 39.5°, I 38, hkl 1 5 0

Cell and atoms:
```
data_CsTm2Cu3S5
_chemical_formula_sum 'Cs4 Tm8 Cu12 S20'
_cell_length_a 3.9366
_cell_length_b 14.0092
_cell_length_c 16.6143
_cell_angle_alpha 90.00
_cell_angle_beta 90.00
_cell_angle_gamma 90.00
_symmetry_space_group_name_H-M 'C m c m'
_symmetry_Int_Tables_number 63
_symmetry_space_group_name_Hall '-C 2c 2'
loop_
_atom_site_label
_atom_site_type_symbol
_atom_site_fract_x
_atom_site_fract_y
_atom_site_fract_z
Cs1 Cs 0.0000 0.0640 0.2500
Tm1 Tm 0.0000 0.1930 0.5922
Cu1 Cu 0.0000 0.3454 0.2500
Cu2 Cu 0.0000 0.4170 0.5375
S1 S 0.0000 0.1704 0.0679
S2 S 0.0000 0.2328 0.7500
S3 S 0.0000 0.4360 0.1094
```